Starting from the PBE geometry in Alexandria, the PXRD pattern of Zr4AlPd was simulated for Cu Kα.
No peak broadening, texture or thermal motion is included.

Atomic structure:
Cell lengths 6.915, 6.915, 5.179 Å; angles 90.00, 90.00, 90.00 degrees
Space group I422 (No. 97)
One atom of each set of equivalent atoms:
Zr  0.154  0.346  0.250 (multiplicity 8)
Al  0.000  0.000  0.500 (multiplicity 2)
Pd  0.000  0.000  0.000 (multiplicity 2)

Peak list (10 most intense, 10° ≤ 2θ ≤ 80°, in order of falling intensity)
2θ 33.8, rel. 100
2θ 41.3, rel. 37
2θ 39.4, rel. 24
2θ 43.7, rel. 19
2θ 61.5, rel. 17
2θ 68.0, rel. 16
2θ 64.8, rel. 14
2θ 76.4, rel. 12
2θ 21.4, rel. 12
2θ 57.8, rel. 11